# 1
# Tb3HoIr3
Theoretical powder diffraction line list, Cu Kα X-rays. Input: a DFT-relaxed cell (PBE, Alexandria).
Neutral-atom scattering factors, no anomalous dispersion.

Most intense lines, 2θ = 10–90°, by angle:
- 18.3°, I 28
- 37.1°, I 100
- 37.2°, I 99
- 53.5°, I 35
- 66.7°, I 18
- 67.0°, I 54
- 78.9°, I 11
- 79.2°, I 11

Crystal structure
Cell: 5.926 5.926 5.926 Å, 109.38 109.38 109.38°
Sites, in units of the cell vectors:
Tb1 0.000 0.500 0.500
Tb2 0.500 0.000 0.500
Tb3 0.500 0.500 0.000
Ho1 0.000 0.000 0.000
Ir1 0.000 0.000 0.500
Ir2 0.000 0.500 0.000
Ir3 0.500 0.000 0.000

# 2
# Tb2HoIr2
Theoretical powder diffraction line list, Cu Kα X-rays. Input: a DFT-relaxed cell (PBE, Alexandria).
Neutral-atom scattering factors, no anomalous dispersion.

Most intense lines, 2θ = 10–90°, by angle:
- 20.4°, I 15
- 37.2°, I 100
- 37.3°, I 25
- 37.4°, I 25
- 53.9°, I 17
- 66.9°, I 18
- 67.2°, I 18
- 67.4°, I 18

Crystal structure
Cell: 4.803 4.818 10.319 Å, 90.00 90.00 90.00°
Sites, in units of the cell vectors:
Tb1 0.250 0.250 0.001
Tb2 0.250 0.250 0.667
Tb3 0.750 0.750 0.333
Tb4 0.750 0.750 0.999
Ho1 0.250 0.250 0.335
Ho2 0.750 0.750 0.665
Ir1 0.250 0.750 0.495
Ir2 0.250 0.750 0.838
Ir3 0.750 0.250 0.162
Ir4 0.750 0.250 0.505

# 3
# Ho4Te3Ir
Theoretical powder diffraction line list, Cu Kα X-rays. Input: a DFT-relaxed cell (PBE, Alexandria).
Neutral-atom scattering factors, no anomalous dispersion.

Most intense lines, 2θ = 10–90°, by angle:
- 12.3°, I 21
- 29.1°, I 50
- 29.4°, I 100
- 40.8°, I 17
- 41.8°, I 70
- 43.1°, I 19
- 50.9°, I 16
- 52.9°, I 19

Crystal structure
Cell: 7.563 7.563 4.193 Å, 90.00 90.00 108.43°
Sites, in units of the cell vectors:
Ho1 0.208 0.208 0.500
Ho2 0.227 0.773 0.000
Ho3 0.773 0.227 0.000
Ho4 0.792 0.792 0.500
Te1 0.000 0.500 0.500
Te2 0.500 0.000 0.500
Te3 0.500 0.500 0.000
Ir1 0.000 0.000 0.000

# 4
# Ho4Tl2Ir
Theoretical powder diffraction line list, Cu Kα X-rays. Input: a DFT-relaxed cell (PBE, Alexandria).
Neutral-atom scattering factors, no anomalous dispersion.

Most intense lines, 2θ = 10–90°, by angle:
- 25.9°, I 43
- 27.9°, I 56
- 32.0°, I 100
- 34.2°, I 70
- 35.4°, I 47
- 37.7°, I 48
- 38.3°, I 48
- 40.1°, I 53

Crystal structure
Cell: 6.533 3.774 8.896 Å, 90.00 109.48 90.00°
Sites, in units of the cell vectors:
Ho1 0.118 0.000 0.261
Ho2 0.346 0.500 0.656
Ho3 0.654 0.500 0.344
Ho4 0.882 0.000 0.739
Tl1 0.256 0.500 0.998
Tl2 0.744 0.500 0.002
Ir1 0.500 0.000 0.500

# 5
# Ho3TmIr4
Theoretical powder diffraction line list, Cu Kα X-rays. Input: a DFT-relaxed cell (PBE, Alexandria).
Neutral-atom scattering factors, no anomalous dispersion.

Most intense lines, 2θ = 10–90°, by angle:
- 37.0°, I 100
- 38.3°, I 45
- 51.3°, I 10
- 55.3°, I 16
- 65.8°, I 19
- 68.4°, I 34
- 78.8°, I 11
- 87.2°, I 9

Crystal structure
Cell: 3.563 4.700 9.400 Å, 90.00 90.00 90.00°
Sites, in units of the cell vectors:
Ho1 0.000 0.000 0.000
Ho2 0.000 0.500 0.251
Ho3 0.000 0.500 0.749
Tm1 0.000 0.000 0.500
Ir1 0.500 0.000 0.252
Ir2 0.500 0.000 0.748
Ir3 0.500 0.500 0.000
Ir4 0.500 0.500 0.500

# 6
# Ho3Tm2Ir2
Theoretical powder diffraction line list, Cu Kα X-rays. Input: a DFT-relaxed cell (PBE, Alexandria).
Neutral-atom scattering factors, no anomalous dispersion.

Most intense lines, 2θ = 10–90°, by angle:
- 31.1°, I 71
- 32.5°, I 97
- 33.7°, I 77
- 34.3°, I 89
- 34.7°, I 97
- 36.2°, I 100
- 39.5°, I 60
- 47.4°, I 52

Crystal structure
Cell: 6.248 6.248 8.687 Å, 114.30 114.30 35.78°
Sites, in units of the cell vectors:
Ho1 0.000 0.000 0.000
Ho2 0.119 0.119 0.432
Ho3 0.881 0.881 0.568
Tm1 0.333 0.333 0.190
Tm2 0.667 0.667 0.810
Ir1 0.322 0.322 0.767
Ir2 0.678 0.678 0.233

# 7
# HoTm3Ir2
Theoretical powder diffraction line list, Cu Kα X-rays. Input: a DFT-relaxed cell (PBE, Alexandria).
Neutral-atom scattering factors, no anomalous dispersion.

Most intense lines, 2θ = 10–90°, by angle:
- 31.1°, I 91
- 31.8°, I 33
- 33.5°, I 100
- 36.8°, I 65
- 39.8°, I 62
- 43.1°, I 26
- 44.0°, I 28
- 44.9°, I 34

Crystal structure
Cell: 4.534 8.702 7.178 Å, 90.00 90.00 90.00°
Sites, in units of the cell vectors:
Ho1 0.000 0.087 0.000
Ho2 0.000 0.913 0.500
Tm1 0.000 0.329 0.632
Tm2 0.000 0.671 0.132
Tm3 0.500 0.173 0.348
Tm4 0.500 0.413 0.979
Tm5 0.500 0.587 0.479
Tm6 0.500 0.827 0.848
Ir1 0.000 0.346 0.234
Ir2 0.000 0.654 0.734
Ir3 0.500 0.155 0.745
Ir4 0.500 0.845 0.245

# 8
# HoTm3Ir3
Theoretical powder diffraction line list, Cu Kα X-rays. Input: a DFT-relaxed cell (PBE, Alexandria).
Neutral-atom scattering factors, no anomalous dispersion.

Most intense lines, 2θ = 10–90°, by angle:
- 18.6°, I 27
- 37.6°, I 100
- 37.7°, I 99
- 54.3°, I 35
- 67.9°, I 54
- 68.2°, I 18
- 80.2°, I 11
- 80.5°, I 11

Crystal structure
Cell: 5.859 5.859 5.859 Å, 109.56 109.56 109.56°
Sites, in units of the cell vectors:
Ho1 0.000 0.000 0.000
Tm1 0.000 0.500 0.500
Tm2 0.500 0.000 0.500
Tm3 0.500 0.500 0.000
Ir1 0.000 0.000 0.500
Ir2 0.000 0.500 0.000
Ir3 0.500 0.000 0.000

# 9
# HoTm3Ir8
Theoretical powder diffraction line list, Cu Kα X-rays. Input: a DFT-relaxed cell (PBE, Alexandria).
Neutral-atom scattering factors, no anomalous dispersion.

Most intense lines, 2θ = 10–90°, by angle:
- 36.7°, I 69
- 39.7°, I 100
- 40.4°, I 98
- 44.4°, I 26
- 62.1°, I 27
- 64.2°, I 25
- 67.5°, I 32
- 70.6°, I 31

Crystal structure
Cell: 5.336 5.336 8.671 Å, 90.00 90.00 120.00°
Sites, in units of the cell vectors:
Ho1 0.000 0.000 0.000
Tm1 0.000 0.000 0.367
Tm2 0.667 0.333 0.499
Tm3 0.667 0.333 0.866
Ir1 0.163 0.326 0.682
Ir2 0.163 0.837 0.682
Ir3 0.333 0.667 0.433
Ir4 0.333 0.667 0.933
Ir5 0.504 0.007 0.183
Ir6 0.504 0.496 0.183
Ir7 0.674 0.837 0.682
Ir8 0.993 0.496 0.183

# 10
# Ho4TmIr2
Theoretical powder diffraction line list, Cu Kα X-rays. Input: a DFT-relaxed cell (PBE, Alexandria).
Neutral-atom scattering factors, no anomalous dispersion.

Most intense lines, 2θ = 10–90°, by angle:
- 28.5°, I 37
- 31.0°, I 37
- 31.6°, I 100
- 34.5°, I 35
- 34.8°, I 38
- 36.0°, I 30
- 36.9°, I 74
- 38.0°, I 69

Crystal structure
Cell: 7.807 6.271 7.847 Å, 90.00 112.49 90.00°
Sites, in units of the cell vectors:
Ho1 0.016 0.250 0.380
Ho2 0.247 0.750 0.333
Ho3 0.416 0.003 0.764
Ho4 0.416 0.497 0.764
Ho5 0.584 0.503 0.236
Ho6 0.584 0.997 0.236
Ho7 0.753 0.250 0.667
Ho8 0.984 0.750 0.620
Tm1 0.157 0.250 0.030
Tm2 0.843 0.750 0.970
Ir1 0.254 0.750 0.985
Ir2 0.375 0.250 0.411
Ir3 0.625 0.750 0.589
Ir4 0.746 0.250 0.015

# 11
# Ho2TmIr2
Theoretical powder diffraction line list, Cu Kα X-rays. Input: a DFT-relaxed cell (PBE, Alexandria).
Neutral-atom scattering factors, no anomalous dispersion.

Most intense lines, 2θ = 10–90°, by angle:
- 20.6°, I 15
- 37.5°, I 100
- 37.7°, I 25
- 37.9°, I 24
- 54.5°, I 17
- 67.5°, I 18
- 68.0°, I 18
- 68.2°, I 18

Crystal structure
Cell: 4.750 4.768 10.259 Å, 90.00 90.00 90.00°
Sites, in units of the cell vectors:
Ho1 0.250 0.250 0.001
Ho2 0.250 0.250 0.668
Ho3 0.750 0.750 0.332
Ho4 0.750 0.750 0.999
Tm1 0.250 0.250 0.335
Tm2 0.750 0.750 0.665
Ir1 0.250 0.750 0.496
Ir2 0.250 0.750 0.837
Ir3 0.750 0.250 0.163
Ir4 0.750 0.250 0.504

# 12
# Ho2VIr3
Theoretical powder diffraction line list, Cu Kα X-rays. Input: a DFT-relaxed cell (PBE, Alexandria).
Neutral-atom scattering factors, no anomalous dispersion.

Most intense lines, 2θ = 10–90°, by angle:
- 21.9°, I 16
- 37.6°, I 25
- 38.3°, I 55
- 39.3°, I 100
- 39.5°, I 61
- 61.7°, I 25
- 67.9°, I 25
- 70.2°, I 29

Crystal structure
Cell: 5.525 5.525 8.100 Å, 90.00 90.00 120.00°
Sites, in units of the cell vectors:
Ho1 0.333 0.667 0.062
Ho2 0.333 0.667 0.438
Ho3 0.667 0.333 0.562
Ho4 0.667 0.333 0.938
V1 0.000 0.000 0.000
V2 0.000 0.000 0.500
Ir1 0.169 0.338 0.750
Ir2 0.169 0.831 0.750
Ir3 0.338 0.169 0.250
Ir4 0.662 0.831 0.750
Ir5 0.831 0.169 0.250
Ir6 0.831 0.662 0.250

# 13
# YHo3Ir3
Theoretical powder diffraction line list, Cu Kα X-rays. Input: a DFT-relaxed cell (PBE, Alexandria).
Neutral-atom scattering factors, no anomalous dispersion.

Most intense lines, 2θ = 10–90°, by angle:
- 18.4°, I 36
- 37.2°, I 100
- 37.4°, I 99
- 53.8°, I 35
- 67.1°, I 18
- 67.2°, I 36
- 67.6°, I 18
- 79.3°, I 11

Crystal structure
Cell: 5.912 5.912 5.912 Å, 109.60 109.60 109.60°
Sites, in units of the cell vectors:
Y1 0.000 0.000 0.000
Ho1 0.000 0.500 0.500
Ho2 0.500 0.000 0.500
Ho3 0.500 0.500 0.000
Ir1 0.000 0.000 0.500
Ir2 0.000 0.500 0.000
Ir3 0.500 0.000 0.000

# 14
# Ho4ZnIr4
Theoretical powder diffraction line list, Cu Kα X-rays. Input: a DFT-relaxed cell (PBE, Alexandria).
Neutral-atom scattering factors, no anomalous dispersion.

Most intense lines, 2θ = 10–90°, by angle:
- 33.4°, I 100
- 34.0°, I 53
- 40.3°, I 59
- 45.8°, I 18
- 48.0°, I 20
- 50.9°, I 36
- 55.6°, I 18
- 77.4°, I 18

Crystal structure
Cell: 8.484 8.484 5.550 Å, 90.00 90.00 90.00°
Sites, in units of the cell vectors:
Ho1 0.055 0.680 0.114
Ho2 0.180 0.945 0.614
Ho3 0.320 0.555 0.614
Ho4 0.445 0.820 0.114
Ho5 0.555 0.180 0.886
Ho6 0.680 0.445 0.386
Ho7 0.820 0.055 0.386
Ho8 0.945 0.320 0.886
Zn1 0.250 0.250 0.250
Zn2 0.750 0.750 0.750
Ir1 0.000 0.367 0.386
Ir2 0.000 0.633 0.614
Ir3 0.133 0.000 0.114
Ir4 0.367 0.500 0.114
Ir5 0.500 0.133 0.386
Ir6 0.500 0.867 0.614
Ir7 0.633 0.500 0.886
Ir8 0.867 0.000 0.886